Calculated powder X-ray diffraction pattern of Al8Cu2Pd for Cu Kα (λ = 1.5418 Å), from a PBE-relaxed structure.
Kinematic intensities with the Lorentz-polarization factor, no thermal factor.

Main lines, in order of rising 2θ (10 to 90 degrees two-theta):
h k l, 2θ/deg, d (Å), I_rel
0 1 3, 25.43, 3.503, 31
1 1 0, 25.66, 3.472, 33
1 2 3, 40.49, 2.228, 100
0 0 6, 45.53, 1.992, 18
2 0 0, 46.07, 1.970, 19
0 4 0, 49.64, 1.837, 12
2 0 6, 66.78, 1.401, 14
3 2 3, 81.49, 1.181, 12

Crystal structure
```
data_Al8Cu2Pd
_cell_length_a 3.9403
_cell_length_b 7.3462
_cell_length_c 11.9548
_cell_angle_alpha 90.00
_cell_angle_beta 90.00
_cell_angle_gamma 90.00
_space_group_name_H-M_alt 'I m m m'
_space_group_IT_number 71
_space_group_name_Hall '-I 2 2'
loop_
_atom_site_label
_atom_site_fract_x
_atom_site_fract_y
_atom_site_fract_z
Al1 0.0000 0.0000 0.1549
Al2 0.0000 0.2305 0.3352
Al3 0.0000 0.3005 0.0000
Cu1 0.0000 0.5000 0.1788
Pd1 0.0000 0.5000 0.5000
```